1.
Computed XRD peak list of Li2Ga2GeS6 for Cu Kα X-rays, from a cell relaxed with PBE.
No peak broadening, texture or thermal motion is included.

Atomic structure:
```
data_Li2Ga2GeS6
_cell_length_a 12.0436
_cell_length_b 7.0518
_cell_length_c 13.0751
_cell_angle_alpha 65.78
_cell_angle_beta 32.28
_cell_angle_gamma 81.94
_symmetry_space_group_name_H-M 'P 1'
_symmetry_Int_Tables_number 1
_symmetry_space_group_name_Hall 'P 1'
loop_
_atom_site_label
_atom_site_fract_x
_atom_site_fract_y
_atom_site_fract_z
Li1 0.2153 0.7847 0.3770
Li2 0.6270 0.8730 0.4653
Li3 0.7847 0.2153 0.6230
Li4 0.8730 0.6270 0.0347
Ga1 0.1654 0.7128 0.0670
Ga2 0.1830 0.1952 0.0846
Ga3 0.1952 0.1830 0.5372
Ga4 0.7128 0.1654 0.0548
Ge1 0.2319 0.2319 0.7681
Ge2 0.4819 0.4819 0.0181
S1 0.1794 0.4294 0.3681
S2 0.2268 0.8819 0.8206
S3 0.3377 0.9380 0.4251
S4 0.4026 0.4321 0.4515
S5 0.4294 0.1794 0.0232
S6 0.4321 0.4026 0.7138
S7 0.5362 0.7985 0.8179
S8 0.7985 0.5362 0.8474
S9 0.8249 0.9508 0.9123
S10 0.8819 0.2268 0.0706
S11 0.9380 0.3377 0.2992
S12 0.9508 0.8249 0.3120
```

The 10 most intense peaks (2θ = 10–80°), sorted by position:
| Position (°2θ) | I (rel.) |
| --- | --- |
| 15.21 | 100.0 |
| 15.36 | 16.2 |
| 16.33 | 21.8 |
| 18.72 | 20.0 |
| 24.30 | 32.9 |
| 25.56 | 18.9 |
| 27.84 | 31.3 |
| 30.95 | 49.0 |
| 33.01 | 16.4 |
| 33.59 | 21.5 |



2.
Computed XRD peak list of PmEr2Tm5In for Cu Kα X-rays, from a cell relaxed with PBE.
No peak broadening, texture or thermal motion is included.

Atomic structure:
```
data_PmEr2Tm5In
_cell_length_a 10.3017
_cell_length_b 10.3017
_cell_length_c 10.4080
_cell_angle_alpha 90.00
_cell_angle_beta 90.00
_cell_angle_gamma 150.12
_symmetry_space_group_name_H-M 'P 1'
_symmetry_Int_Tables_number 1
_symmetry_space_group_name_Hall 'P 1'
loop_
_atom_site_label
_atom_site_fract_x
_atom_site_fract_y
_atom_site_fract_z
Pm1 0.2088 0.7912 0.7500
Pm2 0.7912 0.2088 0.2500
Er1 0.1162 0.8838 0.0399
Er2 0.1162 0.8838 0.4601
Er3 0.8838 0.1162 0.5399
Er4 0.8838 0.1162 0.9601
Tm1 0.0106 0.9894 0.7500
Tm2 0.2900 0.7100 0.0482
Tm3 0.2900 0.7100 0.4518
Tm4 0.3855 0.6145 0.7500
Tm5 0.5000 0.5000 0.0000
Tm6 0.5000 0.5000 0.5000
Tm7 0.6145 0.3855 0.2500
Tm8 0.7100 0.2900 0.5482
Tm9 0.7100 0.2900 0.9518
Tm10 0.9894 0.0106 0.2500
In1 0.4052 0.5948 0.2500
In2 0.5948 0.4052 0.7500
```

The 10 most intense peaks (2θ = 10–80°), sorted by position:
| Position (°2θ) | I (rel.) |
| --- | --- |
| 27.50 | 10.9 |
| 28.23 | 11.8 |
| 31.12 | 27.3 |
| 32.97 | 100.0 |
| 33.74 | 31.1 |
| 34.47 | 16.1 |
| 49.01 | 12.1 |
| 59.86 | 18.2 |
| 60.25 | 8.7 |
| 63.31 | 8.9 |



3.
Computed XRD peak list of MnHPdAu for Cu Kα X-rays, from a cell relaxed with PBE.
No peak broadening, texture or thermal motion is included.

Atomic structure:
```
data_MnHPdAu
_cell_length_a 6.4522
_cell_length_b 6.4522
_cell_length_c 6.4522
_cell_angle_alpha 154.13
_cell_angle_beta 154.13
_cell_angle_gamma 36.91
_symmetry_space_group_name_H-M 'P 1'
_symmetry_Int_Tables_number 1
_symmetry_space_group_name_Hall 'P 1'
loop_
_atom_site_label
_atom_site_fract_x
_atom_site_fract_y
_atom_site_fract_z
Mn1 0.0000 0.0000 0.0000
H1 0.1658 0.1658 0.0000
Pd1 0.6574 0.6574 0.0000
Au1 0.3484 0.3484 0.0000
```

The 10 most intense peaks (2θ = 10–80°), sorted by position:
| Position (°2θ) | I (rel.) |
| --- | --- |
| 14.47 | 18.7 |
| 29.18 | 13.0 |
| 31.83 | 24.6 |
| 38.17 | 100.0 |
| 44.37 | 49.0 |
| 53.97 | 9.9 |
| 62.04 | 9.3 |
| 64.55 | 29.7 |
| 73.75 | 5.0 |
| 77.53 | 33.7 |



4.
Computed XRD peak list of Li2DyMg3 for Cu Kα X-rays, from a cell relaxed with PBE.
No peak broadening, texture or thermal motion is included.

Atomic structure:
```
data_Li2DyMg3
_cell_length_a 5.0163
_cell_length_b 5.0163
_cell_length_c 12.9369
_cell_angle_alpha 90.00
_cell_angle_beta 90.00
_cell_angle_gamma 120.00
_symmetry_space_group_name_H-M 'P 1'
_symmetry_Int_Tables_number 1
_symmetry_space_group_name_Hall 'P 1'
loop_
_atom_site_label
_atom_site_fract_x
_atom_site_fract_y
_atom_site_fract_z
Li1 0.3333 0.6667 0.1146
Li2 0.3333 0.6667 0.3854
Li3 0.6667 0.3333 0.6146
Li4 0.6667 0.3333 0.8854
Dy1 0.0000 0.0000 0.2500
Dy2 0.0000 0.0000 0.7500
Mg1 0.0000 0.0000 0.0000
Mg2 0.0000 0.0000 0.5000
Mg3 0.3333 0.6667 0.6205
Mg4 0.3333 0.6667 0.8795
Mg5 0.6667 0.3333 0.1205
Mg6 0.6667 0.3333 0.3795
```

The 10 most intense peaks (2θ = 10–80°), sorted by position:
| Position (°2θ) | I (rel.) |
| --- | --- |
| 13.69 | 53.7 |
| 20.44 | 95.3 |
| 24.69 | 93.6 |
| 34.58 | 100.0 |
| 35.80 | 59.6 |
| 38.50 | 27.0 |
| 43.97 | 20.5 |
| 50.62 | 33.7 |
| 57.95 | 18.3 |
| 63.55 | 33.8 |